Simulated powder diffraction line list of Ac3Co2PdO9 for Cu Ka, from DFT lattice parameters and positions (GGA+U).

Crystal structure
```
data_Ac3Co2PdO9
_chemical_formula_sum 'Ac3 Co2 Pd1 O9'
_space_group_name_H-M_alt 'P -3 m 1'
_space_group_IT_number 164
_space_group_name_Hall '-P 3 2"'
_cell_length_a 5.6898
_cell_length_b 5.6898
_cell_length_c 6.8933
_cell_angle_alpha 90.00
_cell_angle_beta 90.00
_cell_angle_gamma 120.00
loop_
_atom_site_label
_atom_site_type_symbol
_atom_site_fract_x
_atom_site_fract_y
_atom_site_fract_z
Ac1 Ac 0.0000 0.0000 0.0000
Ac2 Ac 0.3333 0.6667 0.6743
Co1 Co 0.3333 0.6667 0.1633
Pd1 Pd 0.0000 0.0000 0.5000
O1 O 0.0000 0.5000 0.0000
O2 O 0.1678 0.3356 0.3266
```

Main lines, in order of rising 2θ (2θ from 10° to 80°):
2θ (°), d [Å], I_rel, hkl
22.18, 4.009, 46, 1 0 1
31.45, 2.845, 100, 1 1 0
31.68, 2.824, 98, 0 1 2
38.82, 2.320, 27, 0 2 1
45.24, 2.004, 55, 2 0 2
55.98, 1.643, 20, 3 0 0
56.13, 1.639, 40, 1 2 2
56.58, 1.627, 19, 1 0 4
65.63, 1.422, 17, 2 2 0
74.72, 1.270, 18, 3 1 2